This entry pairs a crystal structure of ScTeAuO with its theoretical powder XRD pattern. Radiation: a wavelength of 1.5418 Å. Structure: DFT lattice parameters and positions (GGA-PBE).

Structure:
a = 5.364 Å, b = 10.228 Å, c = 5.484 Å
α = 90.00°, β = 90.00°, γ = 90.00°
Fractional positions:
Sc: 0.000 0.094 0.250
Sc: 0.000 0.906 0.750
Sc: 0.500 0.094 0.750
Sc: 0.500 0.906 0.250
Te: 0.000 0.270 0.750
Te: 0.000 0.730 0.250
Te: 0.500 0.270 0.250
Te: 0.500 0.730 0.750
Au: 0.250 0.500 0.147
Au: 0.250 0.500 0.647
Au: 0.750 0.500 0.353
Au: 0.750 0.500 0.853
O: 0.250 0.000 0.003
O: 0.250 0.000 0.503
O: 0.750 0.000 0.497
O: 0.750 0.000 0.997

Largest 6 diffraction maxima, by angle, 10° ≤ 2θ ≤ 90°:
| h k l | 2theta | I (rel.) |
| --- | --- | --- |
| 1 1 1 | 24.80 | 33 |
| 2 1 0 | 34.58 | 31 |
| 0 4 0 | 35.10 | 30 |
| 1 3 1 | 35.22 | 36 |
| 2 2 0 | 37.88 | 100 |
| 1 2 2 | 40.96 | 34 |